NaMnPdCl6: computed powder diffraction line list (copper Kα), based on DFT lattice parameters and positions (GGA-PBE).
Kinematic intensities with the Lorentz-polarization factor, no thermal factor.

Structural model:
```
data_NaMnPdCl6
_chemical_formula_sum 'Na2 Mn2 Pd2 Cl12'
_cell_length_a 6.4180
_cell_length_b 6.4180
_cell_length_c 12.4066
_cell_angle_alpha 90.00
_cell_angle_beta 90.00
_cell_angle_gamma 120.00
_symmetry_space_group_name_H-M 'P -3 1 c'
_symmetry_Int_Tables_number 163
_symmetry_space_group_name_Hall '-P 3 2c'
loop_
_atom_site_label
_atom_site_type_symbol
_atom_site_fract_x
_atom_site_fract_y
_atom_site_fract_z
_atom_site_occupancy
Na1 Na 0.0000 0.0000 0.0000 1
Mn1 Mn 0.3333 0.6667 0.2500 1
Pd1 Pd 0.3333 0.6667 0.7500 1
Cl1 Cl 0.0002 0.3659 0.1381 1
```

Largest 10 diffraction maxima, sorted by position, 10° ≤ 2θ ≤ 90°:
d [Å]  I/Imax  index
6.203  78  0 0 2
5.558  40  1 0 0
5.072  18  1 0 1
4.140  70  1 0 2
2.850  100  1 1 2
2.230  88  1 1 4
1.990  21  2 1 2
1.853  40  3 0 0
1.738  30  2 -1 6
1.190  22  3 0 8

Na2UMnCl8: computed powder diffraction line list (copper Kα), based on DFT lattice parameters and positions (GGA-PBE).
Kinematic intensities with the Lorentz-polarization factor, no thermal factor.

Structural model:
```
data_Na2UMnCl8
_chemical_formula_sum 'Na2 U1 Mn1 Cl8'
_cell_length_a 6.3544
_cell_length_b 8.1253
_cell_length_c 6.5526
_cell_angle_alpha 90.00
_cell_angle_beta 95.05
_cell_angle_gamma 90.00
_symmetry_space_group_name_H-M 'P 1 2/m 1'
_symmetry_Int_Tables_number 10
_symmetry_space_group_name_Hall '-P 2y'
loop_
_atom_site_label
_atom_site_type_symbol
_atom_site_fract_x
_atom_site_fract_y
_atom_site_fract_z
_atom_site_occupancy
Na1 Na 0.0000 0.2321 0.0000 1
U1 U 0.5000 0.5000 0.5000 1
Mn1 Mn 0.5000 0.0000 0.5000 1
Cl1 Cl 0.2298 0.5000 0.1746 1
Cl2 Cl 0.2501 0.0000 0.2088 1
Cl3 Cl 0.2911 0.2556 0.6588 1
```

Largest 10 diffraction maxima, sorted by position, 10° ≤ 2θ ≤ 90°:
d [Å]  I/Imax  index
8.125  56  0 1 0
6.527  89  0 0 1
6.330  84  1 0 0
4.993  37  1 1 0
4.758  91  1 0 -1
4.356  60  1 0 1
3.419  46  1 2 0
3.090  100  1 2 -1
2.388  52  2 2 -1
1.918  43  0 2 3

NaMnZnCl6: computed powder diffraction line list (copper Kα), based on DFT lattice parameters and positions (GGA-PBE).
Kinematic intensities with the Lorentz-polarization factor, no thermal factor.

Structural model:
```
data_NaMnZnCl6
_chemical_formula_sum 'Na2 Mn2 Zn2 Cl12'
_cell_length_a 6.3148
_cell_length_b 6.3148
_cell_length_c 12.4906
_cell_angle_alpha 90.00
_cell_angle_beta 90.00
_cell_angle_gamma 120.00
_symmetry_space_group_name_H-M 'P -3 1 c'
_symmetry_Int_Tables_number 163
_symmetry_space_group_name_Hall '-P 3 2c'
loop_
_atom_site_label
_atom_site_type_symbol
_atom_site_fract_x
_atom_site_fract_y
_atom_site_fract_z
_atom_site_occupancy
Na1 Na 0.0000 0.0000 0.0000 1
Mn1 Mn 0.3333 0.6667 0.2500 1
Zn1 Zn 0.3333 0.6667 0.7500 1
Cl1 Cl 0.0097 0.3710 0.1395 1
```

Largest 10 diffraction maxima, sorted by position, 10° ≤ 2θ ≤ 90°:
d [Å]  I/Imax  index
6.245  66  0 0 2
5.469  29  1 0 0
4.114  61  1 0 2
2.818  100  1 1 2
2.220  84  1 1 4
1.962  19  2 1 2
1.823  37  3 0 0
1.738  26  2 -1 6
1.409  15  4 -2 4
1.115  13  4 1 4

Na2MnZnCl6: computed powder diffraction line list (copper Kα), based on DFT lattice parameters and positions (GGA-PBE).
Kinematic intensities with the Lorentz-polarization factor, no thermal factor.

Structural model:
```
data_Na2MnZnCl6
_chemical_formula_sum 'Na6 Mn3 Zn3 Cl18'
_cell_length_a 6.7314
_cell_length_b 6.7314
_cell_length_c 17.4337
_cell_angle_alpha 90.00
_cell_angle_beta 90.00
_cell_angle_gamma 120.00
_symmetry_space_group_name_H-M 'R 3'
_symmetry_Int_Tables_number 146
_symmetry_space_group_name_Hall 'R 3'
loop_
_atom_site_label
_atom_site_type_symbol
_atom_site_fract_x
_atom_site_fract_y
_atom_site_fract_z
_atom_site_occupancy
Na1 Na 0.0000 0.0000 0.0000 1
Na2 Na 0.0000 0.0000 0.4993 1
Mn1 Mn 0.0000 0.0000 0.7887 1
Zn1 Zn 0.0000 0.0000 0.2875 1
Cl1 Cl 0.0043 0.3936 0.5498 1
Cl2 Cl 0.0104 0.6139 0.0484 1
```

Largest 10 diffraction maxima, sorted by position, 10° ≤ 2θ ≤ 90°:
d [Å]  I/Imax  index
4.846  100  0 1 2
3.491  40  1 0 4
3.366  14  1 1 0
2.912  90  1 1 3
2.423  61  0 2 4
2.199  72  1 1 6
1.966  25  2 1 4
1.943  45  3 0 0
1.590  14  3 1 2
1.279  15  5 -2 4

Mn2Nb2Cl7: computed powder diffraction line list (copper Kα), based on DFT lattice parameters and positions (GGA-PBE).
Kinematic intensities with the Lorentz-polarization factor, no thermal factor.

Structural model:
```
data_Mn2Nb2Cl7
_chemical_formula_sum 'Mn8 Nb8 Cl28'
_cell_length_a 9.0800
_cell_length_b 10.0634
_cell_length_c 11.1637
_cell_angle_alpha 90.00
_cell_angle_beta 100.61
_cell_angle_gamma 90.00
_symmetry_space_group_name_H-M 'C 1 2/c 1'
_symmetry_Int_Tables_number 15
_symmetry_space_group_name_Hall '-C 2yc'
loop_
_atom_site_label
_atom_site_type_symbol
_atom_site_fract_x
_atom_site_fract_y
_atom_site_fract_z
_atom_site_occupancy
Mn1 Mn 0.1325 0.0466 0.2072 1
Nb1 Nb 0.1194 0.0794 0.9658 1
Cl1 Cl 0.0000 0.2286 0.2500 1
Cl2 Cl 0.1498 0.1368 0.5805 1
Cl3 Cl 0.1589 0.3132 0.8776 1
Cl4 Cl 0.1716 0.4993 0.1287 1
```

Largest 10 diffraction maxima, sorted by position, 10° ≤ 2θ ≤ 90°:
d [Å]  I/Imax  index
6.677  100  1 1 0
5.032  25  0 2 0
3.040  23  1 1 3
2.959  14  0 2 3
2.652  16  3 1 1
2.423  18  1 1 4
2.231  15  4 0 0
2.187  13  2 4 -1
2.179  19  3 1 -4
1.856  13  1 3 -5

MnNbCl2: computed powder diffraction line list (copper Kα), based on DFT lattice parameters and positions (GGA-PBE).
Kinematic intensities with the Lorentz-polarization factor, no thermal factor.

Structural model:
```
data_MnNbCl2
_chemical_formula_sum 'Mn3 Nb3 Cl6'
_cell_length_a 3.1407
_cell_length_b 3.1407
_cell_length_c 28.5459
_cell_angle_alpha 90.00
_cell_angle_beta 90.00
_cell_angle_gamma 120.00
_symmetry_space_group_name_H-M 'R -3 m'
_symmetry_Int_Tables_number 166
_symmetry_space_group_name_Hall '-R 3 2"'
loop_
_atom_site_label
_atom_site_type_symbol
_atom_site_fract_x
_atom_site_fract_y
_atom_site_fract_z
_atom_site_occupancy
Mn1 Mn 0.0000 0.0000 0.0000 1
Nb1 Nb 0.0000 0.0000 0.5000 1
Cl1 Cl 0.0000 0.0000 0.1034 1
```

Largest 10 diffraction maxima, sorted by position, 10° ≤ 2θ ≤ 90°:
d [Å]  I/Imax  index
4.758  48  0 0 6
2.672  100  0 1 2
2.542  25  1 0 4
2.455  32  0 1 5
2.379  20  0 0 12
2.163  62  0 1 8
1.969  65  1 0 10
1.570  30  1 1 0
1.491  18  1 0 16
1.311  16  1 1 12